[1]
For Y2CuO4, a DFT-relaxed cell (PBE, the Materials Project) gives the computed powder diffractogram in this record (Cu Ka).
No peak broadening, texture or thermal motion is included.

Atomic structure:
Cell: 3.8843 3.8843 11.7696 Å, 90.00 90.00 90.00°
Space group I4/mmm (No. 139)
Symmetry-distinct sites (fractional):
Y 0.0000 0.0000 0.1519 (multiplicity 4)
Cu 0.0000 0.0000 0.5000 (multiplicity 2)
O 0.0000 0.5000 0.0000 (multiplicity 4)
O 0.0000 0.5000 0.2500 (multiplicity 4)

Peak list (8 most intense, 2θ = 15–90°, sorted by position)
- 2θ = 32.44°, d 2.760, rel. 100, hkl 1 0 3
- 2θ = 32.60°, d 2.747, rel. 28, hkl 1 1 0
- 2θ = 45.16°, d 2.008, rel. 12, hkl 1 1 4
- 2θ = 46.77°, d 1.942, rel. 28, hkl 2 0 0
- 2θ = 57.76°, d 1.596, rel. 15, hkl 1 1 6
- 2θ = 58.07°, d 1.588, rel. 36, hkl 2 1 3
- 2θ = 67.92°, d 1.380, rel. 9, hkl 2 0 6
- 2θ = 77.70°, d 1.229, rel. 12, hkl 3 0 3

---

[2]
For Y2Cu3O6, a DFT-relaxed cell (PBE, the Materials Project) gives the computed powder diffractogram in this record (Cu Ka).
No peak broadening, texture or thermal motion is included.

Atomic structure:
Cell: 12.0904 3.5518 9.6598 Å, 90.00 116.38 90.00°
Space group C2/m (No. 12)
Symmetry-distinct sites (fractional):
Y 0.1612 0.0000 0.3209 (multiplicity 4)
Cu 0.0000 0.5000 0.5000 (multiplicity 2)
Cu 0.1666 0.0000 0.8328 (multiplicity 4)
O 0.0333 0.0000 0.8523 (multiplicity 4)
O 0.1382 0.5000 0.4667 (multiplicity 4)
O 0.2134 0.5000 0.2208 (multiplicity 4)

Peak list (8 most intense, 2θ = 15–90°, sorted by position)
- 2θ = 30.17°, d 2.962, rel. 29, hkl 4 0 -2
- 2θ = 31.27°, d 2.860, rel. 100, hkl 1 1 -2
- 2θ = 31.69°, d 2.824, rel. 49, hkl 2 0 2
- 2θ = 35.45°, d 2.532, rel. 39, hkl 3 1 0
- 2θ = 37.28°, d 2.412, rel. 17, hkl 2 0 -4
- 2θ = 51.42°, d 1.777, rel. 38, hkl 0 2 0
- 2θ = 53.37°, d 1.717, rel. 25, hkl 1 1 4
- 2θ = 59.76°, d 1.547, rel. 19, hkl 7 1 -2

---

[3]
For YCuO3, a DFT-relaxed cell (PBE, the Materials Project) gives the computed powder diffractogram in this record (Cu Ka).
No peak broadening, texture or thermal motion is included.

Atomic structure:
Cell: 5.6664 7.4942 5.2620 Å, 90.00 90.00 90.00°
Space group Pnma (No. 62)
Symmetry-distinct sites (fractional):
Y 0.0756 0.2500 0.0203 (multiplicity 4)
Cu 0.0000 0.0000 0.5000 (multiplicity 4)
O 0.0311 0.7500 0.3967 (multiplicity 4)
O 0.1946 0.5515 0.8009 (multiplicity 8)

Peak list (8 most intense, 2θ = 15–90°, sorted by position)
- 2θ = 25.99°, d 3.429, rel. 18, hkl 1 1 1
- 2θ = 31.58°, d 2.833, rel. 20, hkl 2 0 0
- 2θ = 33.34°, d 2.687, rel. 100, hkl 1 2 1
- 2θ = 34.08°, d 2.631, rel. 24, hkl 0 0 2
- 2θ = 47.14°, d 1.928, rel. 21, hkl 2 0 2
- 2θ = 48.59°, d 1.874, rel. 22, hkl 0 4 0
- 2θ = 60.53°, d 1.530, rel. 23, hkl 1 2 3
- 2θ = 60.68°, d 1.526, rel. 14, hkl 0 4 2

---

[4]
For Y2Cu3O6, a DFT-relaxed cell (PBE, the Materials Project) gives the computed powder diffractogram in this record (Cu Ka).
No peak broadening, texture or thermal motion is included.

Atomic structure:
Cell: 3.5600 12.0940 8.7837 Å, 90.00 101.50 90.00°
Space group P2_1 (No. 4)
Symmetry-distinct sites (fractional):
Y 0.0151 0.0000 0.0273 (multiplicity 2)
Y 0.3319 0.0178 0.6538 (multiplicity 2)
Cu 0.1073 0.2754 0.2176 (multiplicity 2)
Cu 0.2126 0.7612 0.4316 (multiplicity 2)
Cu 0.4572 0.2458 0.9122 (multiplicity 2)
O 0.1045 0.1315 0.2066 (multiplicity 2)
O 0.1092 0.4222 0.2261 (multiplicity 2)
O 0.2007 0.6190 0.4118 (multiplicity 2)
O 0.2401 0.9033 0.4547 (multiplicity 2)
O 0.4529 0.0962 0.9020 (multiplicity 2)
O 0.4560 0.3943 0.9156 (multiplicity 2)

Peak list (8 most intense, 2θ = 15–90°, sorted by position)
- 2θ = 21.92°, d 4.055, rel. 24, hkl 0 1 2
- 2θ = 29.55°, d 3.023, rel. 41, hkl 0 4 0
- 2θ = 30.41°, d 2.940, rel. 49, hkl 1 1 1
- 2θ = 30.50°, d 2.930, rel. 37, hkl 1 1 -2
- 2θ = 32.06°, d 2.792, rel. 44, hkl 0 1 3
- 2θ = 33.11°, d 2.705, rel. 100, hkl 1 2 1
- 2θ = 34.60°, d 2.592, rel. 28, hkl 0 2 3
- 2θ = 51.33°, d 1.780, rel. 20, hkl 2 0 -1

---

[5]
For Y4Cu2O7, a DFT-relaxed cell (PBE, the Materials Project) gives the computed powder diffractogram in this record (Cu Ka).
No peak broadening, texture or thermal motion is included.

Atomic structure:
Cell: 12.2302 3.6795 8.3408 Å, 90.00 109.48 90.00°
Space group C2/m (No. 12)
Symmetry-distinct sites (fractional):
Y 0.1441 0.0000 0.3368 (multiplicity 4)
Y 0.1625 0.0000 0.8210 (multiplicity 4)
Cu 0.0000 0.5000 0.0000 (multiplicity 2)
Cu 0.0000 0.5000 0.5000 (multiplicity 2)
O 0.0000 0.0000 0.5000 (multiplicity 2)
O 0.0115 0.5000 0.7875 (multiplicity 4)
O 0.2226 0.0000 0.1140 (multiplicity 4)
O 0.2484 0.0000 0.6204 (multiplicity 4)

Peak list (8 most intense, 2θ = 15–90°, sorted by position)
- 2θ = 31.53°, d 2.837, rel. 48, hkl 2 0 2
- 2θ = 31.79°, d 2.815, rel. 41, hkl 4 0 -2
- 2θ = 32.45°, d 2.759, rel. 60, hkl 1 1 -2
- 2θ = 33.72°, d 2.658, rel. 100, hkl 3 1 0
- 2θ = 43.40°, d 2.085, rel. 31, hkl 2 0 -4
- 2θ = 49.55°, d 1.840, rel. 22, hkl 0 2 0
- 2θ = 55.89°, d 1.645, rel. 21, hkl 1 1 4
- 2θ = 56.22°, d 1.636, rel. 18, hkl 5 1 -4

---

[6]
For Y4Cu7O16, a DFT-relaxed cell (PBE, the Materials Project) gives the computed powder diffractogram in this record (Cu Ka).
No peak broadening, texture or thermal motion is included.

Atomic structure:
Cell: 6.2258 10.1244 10.2633 Å, 101.40 96.96 97.55°
Space group P-1 (No. 2)
Symmetry-distinct sites (fractional):
Y 0.0877 0.1931 0.0263 (multiplicity 2)
Y 0.1512 0.3069 0.7200 (multiplicity 2)
Y 0.3450 0.6820 0.7843 (multiplicity 2)
Y 0.3978 0.8146 0.4664 (multiplicity 2)
Cu 0.0000 0.5000 0.5000 (multiplicity 1)
Cu 0.1350 0.2536 0.3787 (multiplicity 2)
Cu 0.2341 0.5006 0.2384 (multiplicity 2)
Cu 0.2390 0.9990 0.7424 (multiplicity 2)
Cu 0.2528 0.9982 0.2492 (multiplicity 2)
Cu 0.3671 0.7534 0.1269 (multiplicity 2)
Cu 0.5000 0.0000 0.0000 (multiplicity 1)
Cu 0.5000 0.5000 0.0000 (multiplicity 1)
Cu 0.5000 0.5000 0.5000 (multiplicity 1)
O 0.0111 0.9855 0.8498 (multiplicity 2)
O 0.0451 0.3356 0.2343 (multiplicity 2)
O 0.0744 0.6874 0.1096 (multiplicity 2)
O 0.1205 0.8884 0.3488 (multiplicity 2)
O 0.1365 0.6016 0.3880 (multiplicity 2)
O 0.1692 0.8174 0.6424 (multiplicity 2)
O 0.2282 0.1838 0.5225 (multiplicity 2)
O 0.2605 0.5046 0.8785 (multiplicity 2)
O 0.2637 0.4881 0.5983 (multiplicity 2)
O 0.2965 0.8378 0.9852 (multiplicity 2)
O 0.3265 0.1763 0.8538 (multiplicity 2)
O 0.3482 0.3928 0.1008 (multiplicity 2)
O 0.3877 0.1080 0.1412 (multiplicity 2)
O 0.4314 0.3243 0.3907 (multiplicity 2)
O 0.4400 0.6614 0.2605 (multiplicity 2)
O 0.4822 0.0111 0.6476 (multiplicity 2)

Peak list (8 most intense, 2θ = 15–90°, sorted by position)
- 2θ = 28.66°, d 3.115, rel. 44, hkl 1 0 -3
- 2θ = 29.26°, d 3.052, rel. 43, hkl 0 3 -2
- 2θ = 32.09°, d 2.789, rel. 81, hkl 2 1 0
- 2θ = 36.01°, d 2.494, rel. 100, hkl -1 2 3
- 2θ = 36.66°, d 2.452, rel. 44, hkl -2 2 2
- 2θ = 36.82°, d 2.441, rel. 37, hkl 0 2 -4
- 2θ = 37.11°, d 2.422, rel. 76, hkl 2 -2 2
- 2θ = 50.09°, d 1.821, rel. 53, hkl 2 3 -4

---

[7]
For YCuO3, a DFT-relaxed cell (PBE, the Materials Project) gives the computed powder diffractogram in this record (Cu Ka).
No peak broadening, texture or thermal motion is included.

Atomic structure:
Cell: 6.2695 6.2695 11.1330 Å, 90.00 90.00 120.00°
Space group P6_3cm (No. 185)
Symmetry-distinct sites (fractional):
Y 0.0000 0.0000 0.0000 (multiplicity 2)
Y 0.3333 0.6667 0.4612 (multiplicity 4)
Cu 0.0000 0.3332 0.2271 (multiplicity 6)
O 0.0000 0.0000 0.2098 (multiplicity 2)
O 0.0000 0.3121 0.3915 (multiplicity 6)
O 0.0000 0.3539 0.0628 (multiplicity 6)
O 0.3333 0.6667 0.2421 (multiplicity 4)

Peak list (8 most intense, 2θ = 15–90°, sorted by position)
- 2θ = 28.47°, d 3.135, rel. 24, hkl 1 1 0
- 2θ = 29.61°, d 3.017, rel. 77, hkl 1 1 1
- 2θ = 32.16°, d 2.783, rel. 39, hkl 0 0 4
- 2θ = 32.79°, d 2.731, rel. 100, hkl 1 1 2
- 2θ = 43.48°, d 2.081, rel. 22, hkl 1 1 4
- 2θ = 50.42°, d 1.810, rel. 60, hkl 3 0 0
- 2θ = 57.74°, d 1.597, rel. 22, hkl 1 1 6
- 2θ = 61.07°, d 1.517, rel. 35, hkl 3 0 4